Diffraction record for ICl4O4. The XRD peak list is simulated, not measured: it uses the PBE geometry in the Materials Project and a wavelength of 1.5418 Å.
Kinematic intensities with the Lorentz-polarization factor, no thermal factor.

Principal peaks in the range 5° ≤ 2θ ≤ 70°, in order of falling intensity:
2θ 28.83, 3.097 Å, intensity 100.0; 2θ 10.73, 8.244 Å, intensity 93.4; 2θ 19.58, 4.534 Å, intensity 76.6; 2θ 14.78, 5.995 Å, intensity 50.6; 2θ 19.23, 4.615 Å, intensity 41.2; 2θ 21.56, 4.122 Å, intensity 35.4; 2θ 31.71, 2.821 Å, intensity 35.3; 2θ 17.31, 5.122 Å, intensity 34.9; 2θ 34.73, 2.583 Å, intensity 28.1; 2θ 22.77, 3.906 Å, intensity 24.3

Atomic structure:
```
ICl4O4
1.0
8.293 0.000 0.000
0.000 4.898 0.000
-1.317 0.000 11.990
I Cl O
2 8 8
direct
0.000 0.000 0.000
0.000 0.500 0.500
0.047 0.133 0.644
0.047 0.367 0.144
0.289 0.023 0.966
0.289 0.477 0.466
0.711 0.523 0.534
0.711 0.977 0.034
0.953 0.633 0.856
0.953 0.867 0.356
0.377 0.538 0.764
0.377 0.962 0.264
0.498 0.528 0.832
0.498 0.972 0.332
0.502 0.028 0.668
0.502 0.472 0.168
0.623 0.038 0.736
0.623 0.462 0.236
```